# 1
Simulated X-ray diffraction stick pattern
Compound: TbPuIn3
Radiation: Cu Kα (λ = 1.5418 Å)
Structure: a DFT-relaxed cell (PBE, Alexandria)
No peak broadening, texture or thermal motion is included.

Structure:
Lattice parameters (Å, degrees): 7.588 7.588 5.801 90.00 90.00 120.00
Element x y z (fractional)
Tb 0.333 0.667 0.250
Tb 0.667 0.333 0.750
Pu 0.000 0.000 0.000
Pu 0.000 0.000 0.500
In 0.204 0.409 0.750
In 0.204 0.796 0.750
In 0.409 0.204 0.250
In 0.591 0.796 0.750
In 0.796 0.204 0.250
In 0.796 0.591 0.250

Largest 8 diffraction maxima, by intensity, 2θ from 10° to 80°:
2theta, Rel. int., hkl
31.29, 100, 2 0 1
23.45, 81, 1 1 0
41.53, 72, 2 0 2
33.78, 71, 1 0 2
36.17, 62, 2 1 0
59.94, 37, 3 1 2
13.47, 37, 1 0 0
47.96, 33, 2 2 0

# 2
Simulated X-ray diffraction stick pattern
Compound: Y2PuIn
Radiation: Cu Kα (λ = 1.5418 Å)
Structure: a DFT-relaxed cell (PBE, Alexandria)
No peak broadening, texture or thermal motion is included.

Structure:
Lattice parameters (Å, degrees): 4.926 4.926 4.630 90.00 90.00 90.00
Element x y z (fractional)
Y 0.000 0.500 0.000
Y 0.500 0.000 0.000
Pu 0.000 0.000 0.500
In 0.500 0.500 0.500

Largest 8 diffraction maxima, by intensity, 2θ from 10° to 80°:
2theta, Rel. int., hkl
32.16, 100, 1 1 1
36.48, 36, 2 0 0
62.96, 29, 3 1 1
54.39, 22, 2 0 2
38.91, 15, 0 0 2
52.55, 12, 2 2 0
66.24, 12, 1 1 3
67.28, 12, 2 2 2